Starting from the PBE geometry in Alexandria, the PXRD pattern of Th8HgAu2 was calculated for Cu Kα (λ = 1.5418 Å).

Most intense lines, 2θ = 5–70°, sorted by position:
2θ/deg	d_spacing	I (rel.)
28.9	3.090	23
30.0	2.974	88
30.7	2.908	49
31.8	2.815	54
32.4	2.766	100
34.5	2.603	42
34.7	2.585	28
35.3	2.545	49
35.3	2.541	52
52.1	1.757	25
52.7	1.738	23
54.5	1.685	24

Unit cell a=8.460 b=8.460 c=6.354 alpha=91.59 beta=91.59 gamma=46.94
Sites, in units of the cell vectors:
Th1 0.088 0.088 0.379
Th2 0.154 0.655 0.134
Th3 0.293 0.293 0.629
Th4 0.345 0.846 0.866
Th5 0.655 0.154 0.134
Th6 0.707 0.707 0.371
Th7 0.846 0.345 0.866
Th8 0.912 0.912 0.621
Hg1 0.500 0.500 0.500
Au1 0.241 0.241 0.116
Au2 0.759 0.759 0.884

***

Starting from the PBE geometry in Alexandria, the PXRD pattern of Th2Hg3Au was calculated for Cu Kα (λ = 1.5418 Å).

Most intense lines, 2θ = 5–70°, sorted by position:
2θ/deg	d_spacing	I (rel.)
26.2	3.401	5
33.5	2.678	100
35.8	2.509	90
44.9	2.019	8
49.8	1.831	33
53.9	1.700	10
62.8	1.479	33
64.3	1.449	17
66.4	1.408	31

Unit cell a=3.401 b=5.015 c=8.697 alpha=90.00 beta=90.00 gamma=90.00
Sites, in units of the cell vectors:
Th1 0.000 0.000 0.000
Th2 0.000 0.500 0.478
Hg1 0.500 0.000 0.654
Hg2 0.500 0.500 0.156
Hg3 0.500 0.500 0.820
Au1 0.500 0.000 0.324

***

Starting from the PBE geometry in Alexandria, the PXRD pattern of Tl6Hg5Au5 was calculated for Cu Kα (λ = 1.5418 Å).

Most intense lines, 2θ = 5–70°, sorted by position:
2θ/deg	d_spacing	I (rel.)
28.7	3.115	53
29.3	3.043	32
32.5	2.755	50
33.0	2.711	85
33.2	2.695	93
33.6	2.664	100
34.4	2.610	41
37.8	2.381	62
38.0	2.369	33
41.5	2.177	50
50.8	1.796	31
67.0	1.396	42

Unit cell a=5.508 b=9.481 c=9.481 alpha=121.34 beta=90.00 gamma=90.00
Sites, in units of the cell vectors:
Tl1 0.000 0.000 0.000
Tl2 0.000 0.171 0.533
Tl3 0.000 0.533 0.171
Tl4 0.500 0.170 0.170
Tl5 0.500 0.556 0.957
Tl6 0.500 0.957 0.556
Hg1 0.000 0.579 0.770
Hg2 0.000 0.770 0.579
Hg3 0.500 0.372 0.563
Hg4 0.500 0.563 0.372
Hg5 0.500 0.794 0.794
Au1 0.000 0.358 0.358
Au2 0.249 0.228 0.873
Au3 0.249 0.873 0.228
Au4 0.751 0.228 0.873
Au5 0.751 0.873 0.228

***

Starting from the PBE geometry in Alexandria, the PXRD pattern of Tl3HgAu4 was calculated for Cu Kα (λ = 1.5418 Å).

Most intense lines, 2θ = 5–70°, sorted by position:
2θ/deg	d_spacing	I (rel.)
29.7	3.008	100
30.8	2.907	36
32.6	2.745	22
32.9	2.721	68
36.0	2.498	90
43.1	2.099	41
44.8	2.024	43
45.1	2.012	25
45.4	1.998	18
56.4	1.631	17
60.9	1.522	22
61.7	1.504	20

Unit cell a=6.692 b=6.692 c=6.692 alpha=131.57 beta=108.85 gamma=90.76
Sites, in units of the cell vectors:
Tl1 0.000 0.000 0.000
Tl2 0.123 0.340 0.784
Tl3 0.556 0.340 0.216
Hg1 0.416 0.916 0.500
Au1 0.315 0.639 0.677
Au2 0.685 0.439 0.754
Au3 0.685 0.932 0.246
Au4 0.962 0.639 0.323